Diffraction record for CoBiBrO2. The PXRD pattern is simulated, not measured: it uses DFT lattice parameters and positions (GGA+U) and Cu Kα (weighted mean of Kα1 and Kα2).
Intensities are scaled so that the largest is 100.

Top 10 peaks for 15° ≤ 2θ ≤ 90°, by angle:
2θ = 26.29°, rel. 100, (1 1 0); 2θ = 28.32°, rel. 61, (1 1 -1); 2θ = 29.25°, rel. 71, (1 0 2); 2θ = 30.26°, rel. 34, (2 0 -1); 2θ = 32.63°, rel. 78, (0 1 2); 2θ = 35.91°, rel. 28, (2 0 -2); 2θ = 37.67°, rel. 30, (1 0 -3); 2θ = 39.59°, rel. 36, (2 1 1); 2θ = 44.65°, rel. 31, (0 2 0); 2θ = 59.86°, rel. 25, (2 1 -4)

Crystal structure
Lattice parameters (Å, degrees): 6.191 4.059 7.487 90.00 95.81 90.00
Atoms (fractional coordinates):
Co: 0.091 0.250 0.382
Co: 0.909 0.750 0.618
Bi: 0.202 0.250 0.895
Bi: 0.798 0.750 0.105
Br: 0.477 0.250 0.290
Br: 0.523 0.750 0.710
O: 0.010 0.250 0.633
O: 0.036 0.750 0.890
O: 0.964 0.250 0.110
O: 0.990 0.750 0.367